Starting from a crystal structure in Alexandria, relaxed with GGA+U, the PXRD pattern of Li4Nb3Cr5O16 was simulated for Cu Kα, 1.54184 Å.
Kinematic intensities with the Lorentz-polarization factor, no thermal factor.

```
Li4Nb3Cr5O16
1.0
5.238 -2.987 0.000
5.238 2.987 0.000
-0.071 0.000 9.775
Li Nb Cr O
4 3 5 16
Direct
0.000 0.000 0.000
0.007 0.007 0.501
0.345 0.345 0.905
0.677 0.677 0.393
0.178 0.178 0.217
0.369 0.825 0.716
0.825 0.369 0.716
0.179 0.670 0.220
0.345 0.345 0.486
0.670 0.179 0.220
0.683 0.683 0.994
0.846 0.846 0.720
0.010 0.010 0.818
0.011 0.011 0.317
0.051 0.489 0.345
0.179 0.179 0.604
0.183 0.683 0.606
0.340 0.340 0.110
0.342 0.851 0.108
0.489 0.051 0.345
0.489 0.489 0.343
0.529 0.529 0.865
0.533 0.970 0.846
0.683 0.183 0.606
0.694 0.694 0.594
0.849 0.849 0.107
0.851 0.342 0.108
0.970 0.533 0.846
```

Most intense lines, 5° ≤ 2θ ≤ 70°, sorted by position:
2θ/deg  I_rel
18.15  100
19.16  29
19.33  64
19.39  32
25.02  31
34.87  20
35.80  56
44.55  41
44.72  26
61.51  31